No. 1
Diffraction record for Pr2Tm2O5. The XRD peak list is theoretical, not measured: it uses DFT lattice parameters and positions (GGA-PBE) and copper Kα.

Largest 12 diffraction maxima, most intense first, 2θ = 10–90°:
| h k l | 2theta | d_spacing | I (rel.) |
| --- | --- | --- | --- |
| 1 0 2 | 31.25 | 2.862 | 100.0 |
| 1 1 0 | 29.60 | 3.018 | 52.7 |
| 2 1 2 | 53.57 | 1.711 | 44.6 |
| 2 0 0 | 42.36 | 2.134 | 30.3 |
| 1 1 4 | 56.63 | 1.625 | 15.6 |
| 2 0 4 | 65.19 | 1.431 | 14.4 |
| 3 2 2 | 85.89 | 1.132 | 11.9 |
| 0 0 4 | 47.11 | 1.929 | 9.8 |
| 3 0 2 | 70.56 | 1.335 | 9.8 |
| 2 2 0 | 61.45 | 1.509 | 9.7 |
| 3 1 0 | 69.67 | 1.350 | 9.7 |
| 3 1 4 | 88.40 | 1.106 | 9.5 |

Crystal structure
```
data_Pr2Tm2O5
_cell_length_a 4.2677
_cell_length_b 4.2677
_cell_length_c 7.7166
_cell_angle_alpha 90.00
_cell_angle_beta 90.00
_cell_angle_gamma 90.00
_symmetry_space_group_name_H-M 'P 4/m m m'
_symmetry_Int_Tables_number 123
_symmetry_space_group_name_Hall '-P 4 2'
loop_
_atom_site_label
_atom_site_type_symbol
_atom_site_fract_x
_atom_site_fract_y
_atom_site_fract_z
Pr1 Pr 0.0000 0.0000 0.0000
Pr2 Pr 0.0000 0.0000 0.5000
Tm1 Tm 0.5000 0.5000 0.2309
O1 O 0.0000 0.5000 0.2425
O2 O 0.5000 0.5000 0.5000
```

=====

No. 2
Diffraction record for NaAlCdF6. The XRD peak list is theoretical, not measured: it uses DFT lattice parameters and positions (GGA-PBE) and copper Kα.

Largest 12 diffraction maxima, most intense first, 2θ = 10–90°:
| h k l | 2theta | d_spacing | I (rel.) |
| --- | --- | --- | --- |
| 1 0 1 | 11.65 | 7.598 | 100.0 |
| 1 1 1 | 27.37 | 3.259 | 56.1 |
| 2 1 2 | 34.28 | 2.616 | 36.6 |
| 1 0 3 | 28.63 | 3.118 | 34.9 |
| 2 1 4 | 47.64 | 1.909 | 31.5 |
| 4 0 0 | 29.08 | 3.071 | 23.6 |
| 1 1 3 | 38.14 | 2.360 | 22.7 |
| 0 2 0 | 50.61 | 1.804 | 19.7 |
| 3 1 1 | 34.41 | 2.607 | 19.6 |
| 0 0 2 | 18.35 | 4.835 | 18.4 |
| 5 0 1 | 37.78 | 2.381 | 18.4 |
| 6 1 2 | 54.95 | 1.671 | 17.7 |

Crystal structure
```
data_NaAlCdF6
_cell_length_a 12.2841
_cell_length_b 3.6075
_cell_length_c 9.6701
_cell_angle_alpha 90.00
_cell_angle_beta 90.00
_cell_angle_gamma 90.00
_symmetry_space_group_name_H-M 'P n m a'
_symmetry_Int_Tables_number 62
_symmetry_space_group_name_Hall '-P 2ac 2n'
loop_
_atom_site_label
_atom_site_type_symbol
_atom_site_fract_x
_atom_site_fract_y
_atom_site_fract_z
Na1 Na 0.0851 0.2500 0.1669
Al1 Al 0.1609 0.2500 0.8201
Cd1 Cd 0.1179 0.7500 0.4920
F1 F 0.0215 0.2500 0.8670
F2 F 0.0402 0.2500 0.3896
F3 F 0.1343 0.2500 0.6362
F4 F 0.1631 0.7500 0.8145
F5 F 0.1935 0.7500 0.2756
F6 F 0.2014 0.2500 0.9992
```

=====

No. 3
Diffraction record for Pt15Pb. The XRD peak list is theoretical, not measured: it uses DFT lattice parameters and positions (GGA-PBE) and copper Kα.

Largest 12 diffraction maxima, most intense first, 2θ = 10–90°:
| h k l | 2theta | d_spacing | I (rel.) |
| --- | --- | --- | --- |
| 0 1 11 | 38.63 | 2.331 | 100.0 |
| 2 0 11 | 39.20 | 2.298 | 96.0 |
| 2 1 0 | 45.58 | 1.990 | 75.7 |
| 0 1 12 | 39.87 | 2.261 | 44.7 |
| 2 0 12 | 40.42 | 2.232 | 43.8 |
| 0 2 0 | 65.65 | 1.422 | 37.8 |
| 2 1 23 | 67.32 | 1.391 | 34.1 |
| 2 2 11 | 79.21 | 1.209 | 25.7 |
| 0 0 23 | 46.71 | 1.945 | 25.2 |
| 4 1 11 | 80.30 | 1.196 | 25.1 |
| 0 0 22 | 44.56 | 2.033 | 19.2 |
| 2 1 1 | 45.63 | 1.988 | 19.0 |

Crystal structure
```
data_Pt15Pb
_cell_length_a 5.5714
_cell_length_b 2.8442
_cell_length_c 44.7325
_cell_angle_alpha 90.00
_cell_angle_beta 90.00
_cell_angle_gamma 90.00
_symmetry_space_group_name_H-M 'P 1 21/m 1'
_symmetry_Int_Tables_number 11
_symmetry_space_group_name_Hall '-P 2yb'
loop_
_atom_site_label
_atom_site_type_symbol
_atom_site_fract_x
_atom_site_fract_y
_atom_site_fract_z
Pt1 Pt 0.1198 0.2500 0.2866
Pt2 Pt 0.1244 0.2500 0.1980
Pt3 Pt 0.1249 0.2500 0.0220
Pt4 Pt 0.1249 0.2500 0.1101
Pt5 Pt 0.1250 0.2500 0.7573
Pt6 Pt 0.1250 0.2500 0.8459
Pt7 Pt 0.1250 0.2500 0.9340
Pt8 Pt 0.3698 0.7500 0.7134
Pt9 Pt 0.3744 0.7500 0.8020
Pt10 Pt 0.3750 0.7500 0.0660
Pt11 Pt 0.3750 0.7500 0.1540
Pt12 Pt 0.3750 0.7500 0.2418
Pt13 Pt 0.3750 0.7500 0.3292
Pt14 Pt 0.3749 0.7500 0.8900
Pt15 Pt 0.3750 0.7500 0.9780
Pb1 Pb 0.1250 0.2500 0.6576
```